Structure and theoretical PXRD pattern of Y11In9Ga4 (a cell relaxed with PBE; Cu Kα (weighted mean of Kα1 and Kα2)).
Kinematic intensities with the Lorentz-polarization factor, no thermal factor.

Main lines, by intensity (2θ = 10–80°):
2θ = 33.4°, I = 100
2θ = 33.3°, I = 96
2θ = 37.2°, I = 74
2θ = 57.0°, I = 42
2θ = 41.5°, I = 41
2θ = 30.6°, I = 22
2θ = 70.6°, I = 21
2θ = 31.3°, I = 18

Atomic structure:
```
data_Y11In9Ga4
_cell_length_a 13.6362
_cell_length_b 20.5603
_cell_length_c 4.3500
_cell_angle_alpha 90.00
_cell_angle_beta 90.00
_cell_angle_gamma 90.00
_symmetry_space_group_name_H-M 'C m m m'
_symmetry_Int_Tables_number 65
_symmetry_space_group_name_Hall '-C 2 2'
loop_
_atom_site_label
_atom_site_type_symbol
_atom_site_fract_x
_atom_site_fract_y
_atom_site_fract_z
Y1 Y 0.0000 0.0000 0.0000
Y2 Y 0.0000 0.1724 0.0000
Y3 Y 0.0000 0.3698 0.0000
Y4 Y 0.2009 0.5000 0.0000
Y5 Y 0.2447 0.1679 0.0000
In1 In 0.0000 0.5000 0.5000
In2 In 0.1152 0.2608 0.5000
In3 In 0.1330 0.0771 0.5000
Ga1 Ga 0.1503 0.4015 0.5000
```



Structure and theoretical PXRD pattern of SmErZnGe (a cell relaxed with PBE; Cu Kα (weighted mean of Kα1 and Kα2)).
Kinematic intensities with the Lorentz-polarization factor, no thermal factor.

Main lines, by intensity (2θ = 10–80°):
2θ = 31.5°, I = 100
2θ = 39.2°, I = 48
2θ = 32.3°, I = 44
2θ = 27.0°, I = 27
2θ = 32.5°, I = 26
2θ = 43.0°, I = 23
2θ = 44.0°, I = 22
2θ = 39.4°, I = 20

Atomic structure:
```
data_SmErZnGe
_cell_length_a 4.1152
_cell_length_b 4.2108
_cell_length_c 11.0206
_cell_angle_alpha 90.00
_cell_angle_beta 90.00
_cell_angle_gamma 90.00
_symmetry_space_group_name_H-M 'A m m 2'
_symmetry_Int_Tables_number 38
_symmetry_space_group_name_Hall 'A 2 -2'
loop_
_atom_site_label
_atom_site_type_symbol
_atom_site_fract_x
_atom_site_fract_y
_atom_site_fract_z
Sm1 Sm 0.0000 0.0000 0.0000
Er1 Er 0.5000 0.0000 0.2824
Zn1 Zn 0.5000 0.0000 0.5718
Ge1 Ge 0.0000 0.0000 0.7212
```



Structure and theoretical PXRD pattern of Ce3Th3Si4 (a cell relaxed with PBE; Cu Kα (weighted mean of Kα1 and Kα2)).
Kinematic intensities with the Lorentz-polarization factor, no thermal factor.

Main lines, by intensity (2θ = 10–80°):
2θ = 31.6°, I = 100
2θ = 33.7°, I = 100
2θ = 25.8°, I = 58
2θ = 36.7°, I = 42
2θ = 53.6°, I = 34
2θ = 55.0°, I = 31
2θ = 27.0°, I = 29
2θ = 32.7°, I = 26

Atomic structure:
```
data_Ce3Th3Si4
_cell_length_a 4.1516
_cell_length_b 10.9371
_cell_length_c 10.9399
_cell_angle_alpha 90.00
_cell_angle_beta 90.00
_cell_angle_gamma 90.00
_symmetry_space_group_name_H-M 'A m m 2'
_symmetry_Int_Tables_number 38
_symmetry_space_group_name_Hall 'A 2 -2'
loop_
_atom_site_label
_atom_site_type_symbol
_atom_site_fract_x
_atom_site_fract_y
_atom_site_fract_z
Ce1 Ce 0.0000 0.0000 0.0000
Ce2 Ce 0.5000 0.2472 0.0671
Th1 Th 0.0000 0.0000 0.6368
Th2 Th 0.0000 0.1811 0.3180
Si1 Si 0.5000 0.0000 0.2043
Si2 Si 0.5000 0.0000 0.4312
Si3 Si 0.5000 0.1122 0.8188
```



Structure and theoretical PXRD pattern of Sr5Sn2Sb (a cell relaxed with PBE; Cu Kα (weighted mean of Kα1 and Kα2)).
Kinematic intensities with the Lorentz-polarization factor, no thermal factor.

Main lines, by intensity (2θ = 10–80°):
2θ = 28.5°, I = 100
2θ = 32.8°, I = 51
2θ = 30.5°, I = 37
2θ = 57.1°, I = 21
2θ = 18.3°, I = 16
2θ = 59.2°, I = 14
2θ = 29.2°, I = 14
2θ = 36.5°, I = 14

Atomic structure:
```
data_Sr5Sn2Sb
_cell_length_a 8.6421
_cell_length_b 8.6421
_cell_length_c 15.9692
_cell_angle_alpha 90.00
_cell_angle_beta 90.00
_cell_angle_gamma 90.00
_symmetry_space_group_name_H-M 'I 4/m c m'
_symmetry_Int_Tables_number 140
_symmetry_space_group_name_Hall '-I 4 2c'
loop_
_atom_site_label
_atom_site_type_symbol
_atom_site_fract_x
_atom_site_fract_y
_atom_site_fract_z
Sr1 Sr 0.0000 0.0000 0.0000
Sr2 Sr 0.1700 0.3300 0.1452
Sn1 Sn 0.1229 0.3771 0.5000
Sb1 Sb 0.0000 0.0000 0.2500
```